(1)
# PrMgBi2O6
Calculated powder X-ray diffraction pattern, Cu Kα. Input: a PBE-relaxed structure.

Structural model:
```
data_PrMgBi2O6
_cell_length_a 8.437
_cell_length_b 8.437
_cell_length_c 8.437
_cell_angle_alpha 90.00
_cell_angle_beta 90.00
_cell_angle_gamma 90.00
_space_group_name_H-M_alt 'P n -3'
_space_group_IT_number 201
loop_
_space_group_symop_operation_xyz
'x,y,z'
'-x,-y,-z'
'-x+1/2,-y+1/2,z'
'x+1/2,y+1/2,-z'
'x,-y+1/2,-z+1/2'
'-x,y+1/2,z+1/2'
'-x+1/2,y,-z+1/2'
'x+1/2,-y,z+1/2'
'z,x,y'
'-z,-x,-y'
'z,-x+1/2,-y+1/2'
'-z,x+1/2,y+1/2'
'-z+1/2,x,-y+1/2'
'z+1/2,-x,y+1/2'
'-z+1/2,-x+1/2,y'
'z+1/2,x+1/2,-y'
'y,z,x'
'-y,-z,-x'
'-y+1/2,z,-x+1/2'
'y+1/2,-z,x+1/2'
'-y+1/2,-z+1/2,x'
'y+1/2,z+1/2,-x'
'y,-z+1/2,-x+1/2'
'-y,z+1/2,x+1/2'
loop_
_atom_site_label
_atom_site_type_symbol
_atom_site_fract_x
_atom_site_fract_y
_atom_site_fract_z
Pr1 Pr 0.000 0.000 0.000
Mg1 Mg 0.000 0.000 0.500
Bi1 Bi 0.250 0.250 0.250
Bi2 Bi 0.250 0.250 0.750
O1 O 0.050 0.572 0.766
```

The 12 most intense peaks (2θ = 10–80°), in order of rising 2θ:
| index | d_spacing | intensity |
| --- | --- | --- |
| 1 1 1 | 4.871 | 8 |
| 2 0 0 | 4.218 | 20 |
| 2 2 0 | 2.983 | 100 |
| 3 1 1 | 2.544 | 6 |
| 2 2 2 | 2.435 | 11 |
| 4 0 0 | 2.109 | 24 |
| 4 0 2 | 1.886 | 10 |
| 4 2 2 | 1.722 | 48 |
| 4 4 0 | 1.491 | 14 |
| 6 0 0 | 1.406 | 6 |
| 6 2 0 | 1.334 | 19 |
| 4 4 4 | 1.218 | 5 |


(2)
# PrMgBi2O6
Calculated powder X-ray diffraction pattern, Cu Kα. Input: a PBE-relaxed structure.

Structural model:
```
data_PrMgBi2O6
_cell_length_a 5.839
_cell_length_b 5.839
_cell_length_c 8.628
_cell_angle_alpha 90.00
_cell_angle_beta 90.00
_cell_angle_gamma 90.00
_space_group_name_H-M_alt 'I 4/m'
_space_group_IT_number 87
_space_group_name_Hall '-I 4'
loop_
_atom_site_label
_atom_site_type_symbol
_atom_site_fract_x
_atom_site_fract_y
_atom_site_fract_z
Pr1 Pr 0.000 0.000 0.000
Mg1 Mg 0.000 0.000 0.500
Bi1 Bi 0.000 0.500 0.250
O1 O 0.000 0.000 0.266
O2 O 0.131 0.667 0.500
```

The 12 most intense peaks (2θ = 10–80°), in order of rising 2θ:
| index | d_spacing | intensity |
| --- | --- | --- |
| 1 0 1 | 4.836 | 13 |
| 1 1 0 | 4.129 | 21 |
| 1 1 2 | 2.983 | 100 |
| 2 0 0 | 2.920 | 61 |
| 2 0 2 | 2.418 | 18 |
| 0 0 4 | 2.157 | 17 |
| 2 2 0 | 2.065 | 25 |
| 2 0 4 | 1.735 | 27 |
| 3 1 2 | 1.698 | 49 |
| 2 2 4 | 1.491 | 17 |
| 1 1 6 | 1.358 | 10 |
| 2 4 0 | 1.306 | 12 |


(3)
# PrMgBi2O6
Calculated powder X-ray diffraction pattern, Cu Kα. Input: a PBE-relaxed structure.

Structural model:
```
data_PrMgBi2O6
_cell_length_a 5.826
_cell_length_b 5.826
_cell_length_c 8.651
_cell_angle_alpha 90.00
_cell_angle_beta 90.00
_cell_angle_gamma 90.00
_space_group_name_H-M_alt 'P 4/m n c'
_space_group_IT_number 128
_space_group_name_Hall '-P 4 2n'
loop_
_atom_site_label
_atom_site_type_symbol
_atom_site_fract_x
_atom_site_fract_y
_atom_site_fract_z
Pr1 Pr 0.000 0.000 0.000
Mg1 Mg 0.000 0.000 0.500
Bi1 Bi 0.000 0.500 0.250
O1 O 0.000 0.000 0.266
O2 O 0.132 0.332 0.500
```

The 12 most intense peaks (2θ = 10–80°), in order of rising 2θ:
| index | d_spacing | intensity |
| --- | --- | --- |
| 1 0 1 | 4.832 | 13 |
| 1 1 0 | 4.120 | 21 |
| 1 1 2 | 2.983 | 100 |
| 2 0 0 | 2.913 | 61 |
| 2 0 2 | 2.416 | 18 |
| 0 0 4 | 2.163 | 17 |
| 2 2 0 | 2.060 | 25 |
| 2 0 4 | 1.736 | 27 |
| 3 1 2 | 1.695 | 49 |
| 2 2 4 | 1.492 | 17 |
| 1 1 6 | 1.361 | 10 |
| 4 2 0 | 1.303 | 12 |


(4)
# Pr2MgBi4O12
Calculated powder X-ray diffraction pattern, Cu Kα. Input: a PBE-relaxed structure.

Structural model:
```
data_Pr2MgBi4O12
_cell_length_a 5.765
_cell_length_b 6.193
_cell_length_c 8.463
_cell_angle_alpha 91.76
_cell_angle_beta 91.24
_cell_angle_gamma 91.39
_space_group_name_H-M_alt 'P 1'
_space_group_IT_number 1
loop_
_space_group_symop_operation_xyz
'x,y,z'
loop_
_atom_site_label
_atom_site_type_symbol
_atom_site_fract_x
_atom_site_fract_y
_atom_site_fract_z
Pr1 Pr 0.000 0.000 0.000
Pr2 Pr 0.491 0.681 0.509
Mg1 Mg 0.514 0.597 0.960
Bi1 Bi 0.012 0.563 0.745
Bi2 Bi 0.018 0.569 0.241
Bi3 Bi 0.507 0.115 0.763
Bi4 Bi 0.512 0.123 0.263
O1 O 0.168 0.628 0.002
O2 O 0.215 0.898 0.732
O3 O 0.226 0.854 0.300
O4 O 0.335 0.418 0.326
O5 O 0.385 0.165 0.002
O6 O 0.391 0.444 0.727
O7 O 0.588 0.057 0.523
O8 O 0.700 0.808 0.817
O9 O 0.731 0.740 0.141
O10 O 0.815 0.282 0.850
O11 O 0.872 0.258 0.192
O12 O 0.872 0.582 0.474
```

The 12 most intense peaks (2θ = 10–80°), in order of rising 2θ:
| index | d_spacing | intensity |
| --- | --- | --- |
| 1 -1 0 | 4.271 | 72 |
| 0 0 2 | 4.229 | 61 |
| 1 1 0 | 4.165 | 65 |
| 0 2 0 | 3.094 | 80 |
| 1 1 -2 | 3.024 | 99 |
| 1 -1 2 | 3.012 | 100 |
| -1 1 2 | 2.998 | 90 |
| 1 1 2 | 2.914 | 79 |
| 2 0 0 | 2.881 | 94 |
| 0 0 4 | 2.114 | 49 |
| 2 0 -4 | 1.722 | 36 |
| 3 -1 2 | 1.686 | 43 |